Er2Mn9Tc: simulated powder XRD pattern (Cu Kα, 1.54184 Å), based on a cell relaxed with PBE.
Neutral-atom scattering factors, no anomalous dispersion.

Cell lengths 6.468, 6.468, 8.665 Å; angles 129.02, 129.02, 46.51 degrees
Sites, in units of the cell vectors:
Er (0.084, 0.084, 0.382)
Er (0.916, 0.916, 0.618)
Mn (0.022, 0.498, 0.171)
Mn (0.389, 0.389, 0.814)
Mn (0.405, 0.405, 0.130)
Mn (0.498, 0.022, 0.171)
Mn (0.500, 0.500, 0.500)
Mn (0.502, 0.978, 0.829)
Mn (0.595, 0.595, 0.870)
Mn (0.611, 0.611, 0.186)
Mn (0.978, 0.502, 0.829)
Tc (0.000, 0.000, 0.000)

Largest 8 diffraction maxima, by intensity, 5 to 70 degrees two-theta:
d (Å)  Position (°2θ)  I/Imax
3.038  29.4  100.0
2.223  40.6  88.6
2.199  41.0  67.2
2.511  35.8  50.3
2.787  32.1  48.6
1.919  47.4  47.0
1.889  48.2  36.7
2.554  35.1  29.6

---

ErMn2Tc: simulated powder XRD pattern (Cu Kα, 1.54184 Å), based on a cell relaxed with PBE.
Neutral-atom scattering factors, no anomalous dispersion.

Cell lengths 9.125, 9.125, 9.125 Å; angles 18.68, 18.68, 18.68 degrees
Sites, in units of the cell vectors:
Er (0.000, 0.000, 0.000)
Mn (0.239, 0.239, 0.239)
Mn (0.761, 0.761, 0.761)
Tc (0.500, 0.500, 0.500)

Largest 8 diffraction maxima, by intensity, 5 to 70 degrees two-theta:
d (Å)  Position (°2θ)  I/Imax
2.396  37.5  100.0
2.039  44.4  57.7
4.482  19.8  31.0
2.241  40.2  23.1
1.481  62.7  21.7
1.406  66.5  20.9
2.520  35.6  19.7
1.856  49.1  10.9

---

Er6Mn2Te: simulated powder XRD pattern (Cu Kα, 1.54184 Å), based on a cell relaxed with PBE.
Neutral-atom scattering factors, no anomalous dispersion.

Cell lengths 8.395, 8.395, 8.395 Å; angles 111.42, 110.21, 106.82 degrees
Sites, in units of the cell vectors:
Er (0.009, 0.811, 0.198)
Er (0.234, 0.516, 0.282)
Er (0.234, 0.952, 0.718)
Er (0.282, 0.314, 0.595)
Er (0.282, 0.686, 0.968)
Er (0.387, 0.189, 0.198)
Er (0.613, 0.811, 0.802)
Er (0.718, 0.314, 0.032)
Er (0.718, 0.686, 0.405)
Er (0.766, 0.048, 0.282)
Er (0.766, 0.484, 0.718)
Er (0.991, 0.189, 0.802)
Mn (0.000, 0.111, 0.111)
Mn (0.000, 0.889, 0.889)
Mn (0.395, 0.395, 0.000)
Mn (0.605, 0.605, 0.000)
Te (0.000, 0.500, 0.500)
Te (0.500, 0.000, 0.500)

Largest 8 diffraction maxima, by intensity, 5 to 70 degrees two-theta:
d (Å)  Position (°2θ)  I/Imax
2.795  32.0  100.0
1.558  59.3  24.1
2.632  34.1  23.2
2.571  34.9  23.1
2.549  35.2  20.5
2.401  37.5  17.9
3.033  29.5  16.4
2.502  35.9  15.5

---

ErMnZn17: simulated powder XRD pattern (Cu Kα, 1.54184 Å), based on a cell relaxed with PBE.
Neutral-atom scattering factors, no anomalous dispersion.

Cell lengths 6.756, 6.756, 6.756 Å; angles 81.96, 81.96, 81.96 degrees
Sites, in units of the cell vectors:
Er (0.000, 0.000, 0.000)
Mn (0.275, 0.275, 0.275)
Zn (0.011, 0.011, 0.492)
Zn (0.011, 0.492, 0.011)
Zn (0.160, 0.674, 0.674)
Zn (0.314, 0.314, 0.822)
Zn (0.314, 0.822, 0.314)
Zn (0.357, 0.652, 0.980)
Zn (0.357, 0.980, 0.652)
Zn (0.492, 0.011, 0.011)
Zn (0.558, 0.558, 0.558)
Zn (0.652, 0.357, 0.980)
Zn (0.652, 0.980, 0.357)
Zn (0.674, 0.160, 0.674)
Zn (0.674, 0.674, 0.160)
Zn (0.760, 0.760, 0.760)
Zn (0.822, 0.314, 0.314)
Zn (0.980, 0.357, 0.652)
Zn (0.980, 0.652, 0.357)

Largest 8 diffraction maxima, by intensity, 5 to 70 degrees two-theta:
d (Å)  Position (°2θ)  I/Imax
2.214  40.8  100.0
1.980  45.8  35.6
2.558  35.1  25.5
2.506  35.8  20.4
2.206  40.9  20.3
2.180  41.4  19.7
1.401  66.8  11.4
1.975  46.0  11.3